1.
Sm5TmBi6: calculated powder diffractogram (Cu Ka), based on DFT lattice parameters and positions (PBE).
Lines closer than 0.1° are merged.

Largest 10 diffraction maxima, sorted by position, 10 to 90 degrees two-theta:
2theta  I (rel.)
24.01  4.0
27.80  100.0
39.72  78.4
46.95  2.3
49.17  28.5
57.43  13.5
63.14  1.1
64.98  37.4
72.09  27.8
85.60  9.1

```
12
Lattice="3.930 -6.809 0.000 3.930 6.809 0.000 -2.626 0.000 7.410" Properties=species:S:1:pos:R:3 pbc="T T T"
Sm 0.000 0.000 0.000
Sm 2.618 4.549 3.705
Sm 3.930 2.299 0.000
Sm 3.930 -2.299 0.000
Sm 2.618 -4.549 3.705
Tm 2.618 0.000 3.705
Bi 1.329 2.238 1.879
Bi 0.037 0.000 5.546
Bi 1.329 -2.238 1.879
Bi 3.906 2.238 5.531
Bi 5.198 0.000 1.864
Bi 3.906 -2.238 5.531
```



2.
Sm2TmBi3: calculated powder diffractogram (Cu Ka), based on DFT lattice parameters and positions (PBE).
Lines closer than 0.1° are merged.

Largest 10 diffraction maxima, sorted by position, 10 to 90 degrees two-theta:
2theta  I (rel.)
24.13  3.5
27.93  100.0
39.91  78.2
47.18  2.0
49.41  28.4
57.72  13.4
63.46  0.9
65.31  37.1
72.47  27.6
86.09  9.1

```
24
Lattice="0.000 6.390 13.558 4.516 0.000 13.558 4.516 6.390 0.000" Properties=species:S:1:pos:R:3 pbc="T T T"
Sm 1.129 1.598 1.155
Sm 3.387 4.793 3.359
Sm 1.129 1.598 5.624
Sm 5.644 7.988 10.138
Sm 3.387 4.793 16.977
Sm 7.902 11.183 21.491
Sm 5.644 7.988 23.756
Sm 7.902 11.183 25.960
Tm 3.387 4.793 7.903
Tm 3.387 4.793 12.433
Tm 5.644 7.988 14.682
Tm 5.644 7.988 19.212
Bi 3.418 1.636 7.877
Bi 5.581 4.793 10.168
Bi 3.355 1.636 12.459
Bi 5.613 4.831 14.656
Bi 7.839 7.988 16.947
Bi 5.676 4.831 19.238
Bi 3.355 7.950 7.877
Bi 1.192 4.793 10.168
Bi 3.418 7.950 12.459
Bi 5.676 11.145 14.656
Bi 3.450 7.988 16.947
Bi 5.613 11.145 19.238
```



3.
Sm2Tm5Bi4: calculated powder diffractogram (Cu Ka), based on DFT lattice parameters and positions (PBE).
Lines closer than 0.1° are merged.

Largest 10 diffraction maxima, sorted by position, 10 to 90 degrees two-theta:
2theta  I (rel.)
26.16  46.3
28.31  31.1
29.99  100.0
30.41  31.2
31.47  61.8
31.65  29.1
34.10  58.7
36.19  54.5
42.09  53.8
62.33  32.8

```
11
Lattice="12.384 -1.720 0.000 12.384 1.720 0.000 -0.425 0.000 8.168" Properties=species:S:1:pos:R:3 pbc="T T T"
Sm 1.234 0.000 1.250
Sm 23.109 0.000 6.918
Tm 3.489 0.000 3.750
Tm 4.466 0.000 0.060
Tm 12.171 0.000 4.084
Tm 19.876 0.000 8.108
Tm 20.854 0.000 4.418
Bi 1.520 0.000 6.264
Bi 6.526 0.000 2.361
Bi 17.817 0.000 5.806
Bi 22.823 0.000 1.904
```